Computed powder diffractogram of Pm5SmDy2Sc for Cu Kα X-rays, from the PBE geometry in Alexandria.
Neutral-atom scattering factors, no anomalous dispersion.

Top 8 peaks for 2θ = 5–70°, sorted by position:
- d 3.300, 2θ 27.02, intensity 36
- d 2.826, 2θ 31.66, intensity 100
- d 2.738, 2θ 32.70, intensity 15
- d 2.680, 2θ 33.43, intensity 40
- d 2.554, 2θ 35.14, intensity 16
- d 1.849, 2θ 49.28, intensity 13
- d 1.575, 2θ 58.63, intensity 17
- d 1.533, 2θ 60.38, intensity 22

Structure:
a = 11.2774 Å, b = 11.2774 Å, c = 10.2148 Å
α = 90.00°, β = 90.00°, γ = 152.49°
Fractional positions:
Pm  0.0000  0.0000  0.0000
Pm  0.0000  0.0000  0.5000
Pm  0.1260  0.8740  0.7500
Pm  0.2214  0.7786  0.0624
Pm  0.2214  0.7786  0.4376
Pm  0.4984  0.5016  0.2500
Pm  0.5016  0.4984  0.7500
Pm  0.7786  0.2214  0.5624
Pm  0.7786  0.2214  0.9376
Pm  0.8740  0.1260  0.2500
Sm  0.1010  0.8990  0.2500
Sm  0.8990  0.1010  0.7500
Dy  0.3836  0.6164  0.0000
Dy  0.3836  0.6164  0.5000
Dy  0.6164  0.3836  0.0000
Dy  0.6164  0.3836  0.5000
Sc  0.2842  0.7158  0.7500
Sc  0.7158  0.2842  0.2500